CeMg6Co: theoretical powder diffractogram (Cu Kα (weighted mean of Kα1 and Kα2)), based on a structure optimized by DFT (PBE).
Lines closer than 0.1° are merged.

```
data_CeMg6Co
_chemical_formula_sum 'Ce2 Mg12 Co2'
_cell_length_a 4.955
_cell_length_b 5.671
_cell_length_c 12.647
_cell_angle_alpha 90.00
_cell_angle_beta 90.00
_cell_angle_gamma 90.00
_symmetry_space_group_name_H-M 'A m m 2'
_symmetry_Int_Tables_number 38
loop_
_symmetry_equiv_pos_as_xyz
'x,y,z'
'-x,-y,z'
'-x,y,z'
'x,-y,z'
'x,y+1/2,z+1/2'
'-x,-y+1/2,z+1/2'
'-x,y+1/2,z+1/2'
'x,-y+1/2,z+1/2'
loop_
_atom_site_label
_atom_site_type_symbol
_atom_site_fract_x
_atom_site_fract_y
_atom_site_fract_z
_atom_site_occupancy
Ce1 Ce 0.000 0.000 0.000 1
Mg1 Mg 0.000 0.249 0.249 1
Mg2 Mg 0.500 0.000 0.162 1
Mg3 Mg 0.500 0.000 0.593 1
Mg4 Mg 0.500 0.245 0.385 1
Co1 Co 0.000 0.000 0.454 1
```

Peak list (8 most intense, 2θ from 10° to 90°, most intense first)
h k l, 2θ (°), I_rel
1 2 2, 39.28, 100
0 0 2, 14.00, 88
1 0 4, 33.62, 88
0 2 2, 34.67, 52
1 0 0, 17.90, 51
2 0 0, 36.26, 49
1 0 2, 22.80, 49
1 1 3, 32.03, 41



Nd2In3Cu: theoretical powder diffractogram (Cu Kα (weighted mean of Kα1 and Kα2)), based on a structure optimized by DFT (PBE).
Lines closer than 0.1° are merged.

```
data_Nd2In3Cu
_chemical_formula_sum 'Nd2 In3 Cu1'
_cell_length_a 3.816
_cell_length_b 4.827
_cell_length_c 8.396
_cell_angle_alpha 90.00
_cell_angle_beta 90.00
_cell_angle_gamma 90.00
_symmetry_space_group_name_H-M 'P m m 2'
_symmetry_Int_Tables_number 25
loop_
_symmetry_equiv_pos_as_xyz
'x,y,z'
'-x,-y,z'
'-x,y,z'
'x,-y,z'
loop_
_atom_site_label
_atom_site_type_symbol
_atom_site_fract_x
_atom_site_fract_y
_atom_site_fract_z
_atom_site_occupancy
Nd1 Nd 0.000 0.000 0.000 1
Nd2 Nd 0.000 0.500 0.489 1
In1 In 0.500 0.000 0.639 1
In2 In 0.500 0.500 0.174 1
In3 In 0.500 0.500 0.829 1
Cu1 Cu 0.500 0.000 0.321 1
```

Peak list (8 most intense, 2θ from 10° to 90°, most intense first)
h k l, 2θ (°), I_rel
1 1 1, 31.72, 100
0 1 3, 37.13, 42
2 2 0, 61.95, 28
0 2 0, 37.25, 22
1 2 2, 49.69, 18
1 2 4, 63.57, 16
2 0 0, 47.66, 11
1 0 4, 49.56, 9



CeRh3: theoretical powder diffractogram (Cu Kα (weighted mean of Kα1 and Kα2)), based on a structure optimized by DFT (PBE).
Lines closer than 0.1° are merged.

```
data_CeRh3
_chemical_formula_sum 'Ce1 Rh3'
_cell_length_a 4.071
_cell_length_b 4.071
_cell_length_c 4.071
_cell_angle_alpha 90.00
_cell_angle_beta 90.00
_cell_angle_gamma 90.00
_symmetry_space_group_name_H-M 'P m -3 m'
_symmetry_Int_Tables_number 221
_symmetry_space_group_name_Hall '-P 4 2 3'
loop_
_atom_site_label
_atom_site_type_symbol
_atom_site_fract_x
_atom_site_fract_y
_atom_site_fract_z
_atom_site_occupancy
Ce1 Ce 0.000 0.000 0.000 1
Rh1 Rh 0.000 0.500 0.500 1
```

Peak list (8 most intense, 2θ from 10° to 90°, most intense first)
h k l, 2θ (°), I_rel
1 1 1, 38.30, 100
2 0 0, 44.51, 49
3 1 1, 77.82, 37
2 2 0, 64.78, 31
2 2 2, 82.00, 11
1 0 0, 21.83, 2
1 1 0, 31.07, 1
2 1 0, 50.11, 1



IrN: theoretical powder diffractogram (Cu Kα (weighted mean of Kα1 and Kα2)), based on a structure optimized by DFT (PBE).
Lines closer than 0.1° are merged.

```
data_IrN
_chemical_formula_sum 'Ir2 N2'
_cell_length_a 2.8669
_cell_length_b 2.8669
_cell_length_c 6.5623
_cell_angle_alpha 90.00
_cell_angle_beta 90.00
_cell_angle_gamma 120.00
_symmetry_space_group_name_H-M 'P 63 m c'
_symmetry_Int_Tables_number 186
_symmetry_space_group_name_Hall 'P 6c -2c'
loop_
_atom_site_label
_atom_site_type_symbol
_atom_site_fract_x
_atom_site_fract_y
_atom_site_fract_z
_atom_site_occupancy
Ir1 Ir 0.3333 0.6667 0.0000 1
N1 N 0.3333 0.6667 0.3195 1
```

Peak list (8 most intense, 2θ from 10° to 90°, most intense first)
h k l, 2θ (°), I_rel
1 0 1, 38.78, 100
0 0 2, 27.18, 54
0 0 4, 56.03, 49
1 0 0, 36.18, 24
1 1 2, 71.87, 22
1 0 2, 45.83, 20
1 1 0, 65.07, 17
1 0 5, 83.26, 15



Nd2Ni7P4: theoretical powder diffractogram (Cu Kα (weighted mean of Kα1 and Kα2)), based on a structure optimized by DFT (PBE).
Lines closer than 0.1° are merged.

```
data_Nd2Ni7P4
_chemical_formula_sum 'Nd4 Ni14 P8'
_cell_length_a 3.777
_cell_length_b 9.236
_cell_length_c 10.418
_cell_angle_alpha 90.00
_cell_angle_beta 90.00
_cell_angle_gamma 90.00
_symmetry_space_group_name_H-M 'P m n 21'
_symmetry_Int_Tables_number 31
loop_
_symmetry_equiv_pos_as_xyz
'x,y,z'
'-x+1/2,-y,z+1/2'
'-x,y,z'
'x+1/2,-y,z+1/2'
loop_
_atom_site_label
_atom_site_type_symbol
_atom_site_fract_x
_atom_site_fract_y
_atom_site_fract_z
_atom_site_occupancy
Nd1 Nd 0.000 0.060 0.000 1
Nd2 Nd 0.000 0.436 0.219 1
Ni1 Ni 0.000 0.058 0.699 1
Ni2 Ni 0.000 0.097 0.301 1
Ni3 Ni 0.000 0.306 0.792 1
Ni4 Ni 0.000 0.416 0.525 1
Ni5 Ni 0.000 0.683 0.481 1
Ni6 Ni 0.000 0.729 0.888 1
Ni7 Ni 0.000 0.747 0.121 1
P1 P 0.000 0.182 0.507 1
P2 P 0.000 0.480 0.935 1
P3 P 0.000 0.812 0.685 1
P4 P 0.000 0.843 0.309 1
```

Peak list (8 most intense, 2θ from 10° to 90°, most intense first)
h k l, 2θ (°), I_rel
1 1 3, 36.47, 100
1 3 0, 37.69, 82
2 0 0, 48.18, 45
0 4 3, 47.27, 35
1 2 3, 40.33, 31
1 2 2, 35.18, 30
1 1 4, 43.32, 26
2 4 3, 69.80, 21



Li19Cu4H8O16: theoretical powder diffractogram (Cu Kα (weighted mean of Kα1 and Kα2)), based on a structure optimized by DFT (PBE).
Lines closer than 0.1° are merged.

```
data_Li19Cu4H8O16
_chemical_formula_sum 'Li19 Cu4 H8 O16'
_cell_length_a 5.498
_cell_length_b 7.443
_cell_length_c 11.002
_cell_angle_alpha 89.63
_cell_angle_beta 89.51
_cell_angle_gamma 89.87
_symmetry_space_group_name_H-M 'P 1'
_symmetry_Int_Tables_number 1
loop_
_symmetry_equiv_pos_as_xyz
'x,y,z'
loop_
_atom_site_label
_atom_site_type_symbol
_atom_site_fract_x
_atom_site_fract_y
_atom_site_fract_z
_atom_site_occupancy
Li1 Li 0.000 0.000 0.000 1
Li2 Li 0.001 0.486 0.323 1
Li3 Li 0.096 0.001 0.787 1
Li4 Li 0.119 0.501 0.098 1
Li5 Li 0.122 0.017 0.254 1
Li6 Li 0.272 0.751 0.899 1
Li7 Li 0.277 0.248 0.900 1
Li8 Li 0.326 0.746 0.389 1
Li9 Li 0.348 0.254 0.391 1
Li10 Li 0.486 0.501 0.765 1
Li11 Li 0.505 0.510 0.274 1
Li12 Li 0.574 0.999 0.805 1
Li13 Li 0.608 0.503 0.500 1
Li14 Li 0.617 0.984 0.328 1
Li15 Li 0.774 0.242 0.701 1
Li16 Li 0.776 0.760 0.702 1
Li17 Li 0.836 0.257 0.201 1
Li18 Li 0.856 0.745 0.203 1
Li19 Li 0.999 0.492 0.829 1
Cu1 Cu 0.060 0.502 0.566 1
Cu2 Cu 0.077 0.001 0.527 1
Cu3 Cu 0.558 0.002 0.068 1
Cu4 Cu 0.567 0.500 0.030 1
H1 H 0.319 0.769 0.157 1
H2 H 0.323 0.243 0.158 1
H3 H 0.332 0.224 0.661 1
H4 H 0.333 0.779 0.661 1
H5 H 0.800 0.257 0.935 1
H6 H 0.801 0.230 0.437 1
H7 H 0.801 0.740 0.935 1
H8 H 0.802 0.762 0.438 1
O1 O 0.210 0.290 0.220 1
O2 O 0.220 0.706 0.217 1
O3 O 0.277 0.499 0.444 1
O4 O 0.292 0.001 0.405 1
O5 O 0.302 0.499 0.934 1
O6 O 0.334 0.999 0.952 1
O7 O 0.418 0.231 0.738 1
O8 O 0.418 0.772 0.738 1
O9 O 0.703 0.717 0.372 1
O10 O 0.715 0.295 0.373 1
O11 O 0.784 0.503 0.151 1
O12 O 0.805 0.502 0.670 1
O13 O 0.816 0.001 0.170 1
O14 O 0.873 0.002 0.651 1
O15 O 0.914 0.790 0.875 1
O16 O 0.918 0.218 0.873 1
```

Peak list (8 most intense, 2θ from 10° to 90°, most intense first)
h k l, 2θ (°), I_rel
1 -2 1, 30.15, 100
1 0 1, 17.97, 66
1 0 -1, 18.10, 61
0 2 0, 23.91, 55
0 2 -2, 29.06, 51
0 2 2, 28.88, 48
1 0 3, 29.15, 46
1 0 -3, 29.39, 42



Ca2Al3O8: theoretical powder diffractogram (Cu Kα (weighted mean of Kα1 and Kα2)), based on a structure optimized by DFT (PBE).
Lines closer than 0.1° are merged.

```
data_Ca2Al3O8
_chemical_formula_sum 'Ca16 Al24 O64'
_cell_length_a 13.252
_cell_length_b 8.823
_cell_length_c 12.241
_cell_angle_alpha 90.00
_cell_angle_beta 90.00
_cell_angle_gamma 90.00
_symmetry_space_group_name_H-M 'C m c e'
_symmetry_Int_Tables_number 64
_symmetry_space_group_name_Hall '-C 2ac 2'
loop_
_atom_site_label
_atom_site_type_symbol
_atom_site_fract_x
_atom_site_fract_y
_atom_site_fract_z
_atom_site_occupancy
Ca1 Ca 0.000 0.195 0.154 1
Ca2 Ca 0.174 0.000 0.500 1
Al1 Al 0.119 0.146 0.879 1
Al2 Al 0.250 0.108 0.250 1
O1 O 0.000 0.030 0.550 1
O2 O 0.000 0.064 0.852 1
O3 O 0.124 0.232 0.012 1
O4 O 0.138 0.208 0.283 1
O5 O 0.215 0.009 0.863 1
```

Peak list (8 most intense, 2θ from 10° to 90°, most intense first)
h k l, 2θ (°), I_rel
1 1 3, 24.95, 100
3 1 2, 26.86, 59
1 3 1, 32.02, 45
0 2 3, 29.83, 33
2 2 0, 24.24, 32
4 4 4, 58.64, 23
4 2 0, 33.84, 22
5 1 2, 38.39, 21



MgVNiS4: theoretical powder diffractogram (Cu Kα (weighted mean of Kα1 and Kα2)), based on a structure optimized by DFT (PBE).
Lines closer than 0.1° are merged.

```
data_MgVNiS4
_chemical_formula_sum 'Mg4 V4 Ni4 S16'
_cell_length_a 12.362
_cell_length_b 7.226
_cell_length_c 6.987
_cell_angle_alpha 90.00
_cell_angle_beta 124.35
_cell_angle_gamma 90.00
_symmetry_space_group_name_H-M 'C 1 2/m 1'
_symmetry_Int_Tables_number 12
loop_
_symmetry_equiv_pos_as_xyz
'x,y,z'
'-x,-y,-z'
'-x,y,-z'
'x,-y,z'
'x+1/2,y+1/2,z'
'-x+1/2,-y+1/2,-z'
'-x+1/2,y+1/2,-z'
'x+1/2,-y+1/2,z'
loop_
_atom_site_label
_atom_site_type_symbol
_atom_site_fract_x
_atom_site_fract_y
_atom_site_fract_z
_atom_site_occupancy
Mg1 Mg 0.125 0.000 0.375 1
V1 V 0.000 0.500 0.000 1
V2 V 0.000 0.500 0.500 1
Ni1 Ni 0.250 0.250 0.000 1
S1 S 0.016 0.271 0.766 1
S2 S 0.237 0.500 0.201 1
S3 S 0.238 0.500 0.774 1
```

Peak list (8 most intense, 2θ from 10° to 90°, most intense first)
h k l, 2θ (°), I_rel
2 2 -2, 35.75, 100
2 2 2, 51.02, 96
0 0 1, 15.37, 90
2 0 1, 29.18, 67
4 0 0, 35.17, 53
1 1 0, 15.02, 45
2 2 -3, 47.28, 34
3 1 -2, 29.72, 31